Record 1
For Pu3As2P, a DFT-relaxed cell (GGA-PBE, Alexandria) gives the calculated powder XRD pattern in this record (λ = 1.5418 Å (Cu Kα)).

Cell lengths 7.093, 12.290, 7.089 Å; angles 90.00, 109.49, 90.00 degrees
Space group C2/c (No. 15)
Asymmetric unit:
1 Pu 0.240 0.080 0.499 [8 per cell]
2 Pu 0.250 0.250 0.000 [4 per cell]
3 As 0.000 0.253 0.250 [4 per cell]
4 As 0.000 0.417 0.750 [4 per cell]
5 P 0.000 0.086 0.750 [4 per cell]

Main lines, in order of rising 2θ (2θ = 10–90°):
- 3.343 Å, intensity 637, (0 0 2)
- 2.895 Å, intensity 1000, (1 3 1)
- 2.047 Å, intensity 753, (1 3 -3)
- 1.746 Å, intensity 321, (1 3 3)
- 1.672 Å, intensity 267, (0 0 4)
- 1.448 Å, intensity 125, (2 6 2)
- 1.329 Å, intensity 88, (2 6 -4)
- 1.295 Å, intensity 345, (0 6 4)
- 1.182 Å, intensity 261, (2 0 -6)
- 1.115 Å, intensity 81, (1 9 3)


Record 2
For TcGePd3, a DFT-relaxed cell (GGA-PBE, Alexandria) gives the calculated powder XRD pattern in this record (λ = 1.5418 Å (Cu Kα)).

Cell lengths 4.612, 4.612, 4.612 Å; angles 90.00, 90.00, 90.00 degrees
Space group Pm-3m (No. 221)
Asymmetric unit:
1 Tc 0.000 0.000 0.000 [1 per cell]
2 Ge 0.500 0.500 0.500 [1 per cell]
3 Pd 0.000 0.500 0.500 [3 per cell]

Main lines, in order of rising 2θ (2θ = 10–90°):
- 4.612 Å, intensity 169, (1 0 0)
- 3.261 Å, intensity 96, (1 1 0)
- 2.663 Å, intensity 986, (1 1 1)
- 2.306 Å, intensity 1000, (2 0 0)
- 2.063 Å, intensity 79, (2 1 0)
- 1.883 Å, intensity 39, (2 1 1)
- 1.631 Å, intensity 670, (2 2 0)
- 1.391 Å, intensity 378, (3 1 1)
- 1.331 Å, intensity 223, (2 2 2)
- 1.153 Å, intensity 105, (4 0 0)